Computed PXRD pattern
Compound: K2Ge3BiPt4
Radiation: λ = 1.5418 Å (Cu Kα)
Structure: a DFT-relaxed cell (PBE, Alexandria)
Kinematic intensities with the Lorentz-polarization factor, no thermal factor.

Cell and atoms:
Cell lengths 4.611, 4.611, 10.297 Å; angles 90.00, 90.00, 90.00 degrees
Sites, in units of the cell vectors:
K1 0.000 0.500 0.242
K2 0.500 0.000 0.758
Ge1 0.000 0.500 0.888
Ge2 0.500 0.000 0.112
Ge3 0.500 0.500 0.500
Bi1 0.000 0.000 0.500
Pt1 0.000 0.000 0.000
Pt2 0.000 0.500 0.643
Pt3 0.500 0.000 0.357
Pt4 0.500 0.500 0.000

The 10 most intense peaks (15° ≤ 2θ ≤ 90°), low angle first:
| 2θ (°) | I/Imax |
| --- | --- |
| 17.22 | 38 |
| 21.11 | 41 |
| 25.95 | 22 |
| 32.51 | 100 |
| 39.07 | 62 |
| 42.98 | 16 |
| 44.86 | 71 |
| 56.44 | 21 |
| 66.67 | 23 |
| 74.83 | 30 |


Computed PXRD pattern
Compound: KGeBiPt2
Radiation: λ = 1.5418 Å (Cu Kα)
Structure: a DFT-relaxed cell (PBE, Alexandria)
Kinematic intensities with the Lorentz-polarization factor, no thermal factor.

Cell and atoms:
Cell lengths 7.055, 4.288, 9.648 Å; angles 90.00, 104.38, 90.00 degrees
Sites, in units of the cell vectors:
K1 0.064 0.250 0.272
K2 0.936 0.750 0.728
Ge1 0.279 0.750 0.541
Ge2 0.721 0.250 0.459
Bi1 0.350 0.750 0.059
Bi2 0.650 0.250 0.941
Pt1 0.468 0.750 0.794
Pt2 0.473 0.250 0.600
Pt3 0.527 0.750 0.400
Pt4 0.532 0.250 0.206

The 10 most intense peaks (15° ≤ 2θ ≤ 90°), low angle first:
| 2θ (°) | I/Imax |
| --- | --- |
| 24.51 | 54 |
| 28.27 | 65 |
| 33.18 | 62 |
| 35.36 | 79 |
| 35.62 | 91 |
| 40.57 | 44 |
| 42.13 | 100 |
| 44.28 | 49 |
| 44.99 | 50 |
| 56.80 | 41 |


Computed PXRD pattern
Compound: La6Ge2Bi
Radiation: λ = 1.5418 Å (Cu Kα)
Structure: a DFT-relaxed cell (PBE, Alexandria)
Kinematic intensities with the Lorentz-polarization factor, no thermal factor.

Cell and atoms:
Cell lengths 9.054, 9.054, 9.054 Å; angles 113.47, 110.97, 104.11 degrees
Sites, in units of the cell vectors:
La1 0.035 0.244 0.791
La2 0.193 0.278 0.471
La3 0.193 0.722 0.915
La4 0.320 0.028 0.708
La5 0.320 0.611 0.292
La6 0.453 0.244 0.209
La7 0.547 0.756 0.791
La8 0.680 0.389 0.708
La9 0.680 0.972 0.292
La10 0.807 0.278 0.085
La11 0.807 0.722 0.529
La12 0.965 0.756 0.209
Ge1 0.116 0.616 0.500
Ge2 0.372 0.000 0.372
Ge3 0.628 0.000 0.628
Ge4 0.884 0.384 0.500
Bi1 0.000 0.000 0.000
Bi2 0.500 0.500 0.000

The 10 most intense peaks (15° ≤ 2θ ≤ 90°), low angle first:
| 2θ (°) | I/Imax |
| --- | --- |
| 28.33 | 14 |
| 29.74 | 100 |
| 31.33 | 25 |
| 32.01 | 37 |
| 32.16 | 16 |
| 32.80 | 23 |
| 36.18 | 23 |
| 49.15 | 11 |
| 52.43 | 17 |
| 56.03 | 17 |


Computed PXRD pattern
Compound: LaGe2Bi2Pd7
Radiation: λ = 1.5418 Å (Cu Kα)
Structure: a DFT-relaxed cell (PBE, Alexandria)
Kinematic intensities with the Lorentz-polarization factor, no thermal factor.

Cell and atoms:
Cell lengths 4.120, 4.120, 14.303 Å; angles 95.08, 95.08, 89.48 degrees
Sites, in units of the cell vectors:
La1 0.000 0.000 0.000
Ge1 0.421 0.421 0.742
Ge2 0.579 0.579 0.258
Bi1 0.118 0.118 0.382
Bi2 0.882 0.882 0.618
Pd1 0.047 0.547 0.157
Pd2 0.347 0.347 0.568
Pd3 0.453 0.953 0.843
Pd4 0.500 0.500 0.000
Pd5 0.547 0.047 0.157
Pd6 0.653 0.653 0.432
Pd7 0.953 0.453 0.843

The 10 most intense peaks (15° ≤ 2θ ≤ 90°), low angle first:
| 2θ (°) | I/Imax |
| --- | --- |
| 27.49 | 28 |
| 30.83 | 30 |
| 31.50 | 89 |
| 31.82 | 35 |
| 34.16 | 66 |
| 34.82 | 100 |
| 36.33 | 86 |
| 40.19 | 38 |
| 44.03 | 88 |
| 44.68 | 35 |